Record 1
Structure and calculated X-ray powder pattern of Rb3Pr3P4S16 (a DFT-relaxed cell (PBE, OQMD); Cu Kα, 1.54184 Å).
Intensities are scaled so that the largest is 100.

The 6 most intense peaks (2θ = 10–90°), low angle first:
Position (°2θ)	I/Imax
10.79	100
19.22	23
20.79	40
26.15	26
28.74	27
34.07	29

Structural model:
```
Rb3Pr3P4S16
1.0
9.367 0.000 0.000
1.754 10.507 0.000
0.540 1.203 14.621
Rb Pr P S
6 6 8 32
direct
0.117 0.196 0.254
0.236 0.423 0.647
0.291 0.921 0.916
0.709 0.079 0.084
0.764 0.577 0.353
0.883 0.804 0.746
0.247 0.469 0.997
0.256 0.722 0.263
0.266 0.984 0.525
0.734 0.016 0.475
0.744 0.278 0.737
0.753 0.531 0.003
0.029 0.281 0.904
0.052 0.749 0.487
0.493 0.432 0.181
0.496 0.065 0.682
0.504 0.935 0.318
0.507 0.568 0.819
0.948 0.251 0.513
0.971 0.719 0.096
0.001 0.677 0.961
0.058 0.912 0.397
0.063 0.873 0.123
0.079 0.561 0.172
0.127 0.593 0.418
0.156 0.249 0.469
0.178 0.751 0.598
0.247 0.261 0.883
0.277 0.083 0.701
0.289 0.628 0.831
0.393 0.293 0.134
0.393 0.942 0.199
0.426 0.473 0.310
0.445 0.601 0.096
0.446 0.788 0.405
0.449 0.099 0.384
0.551 0.901 0.616
0.554 0.212 0.595
0.555 0.399 0.904
0.574 0.527 0.690
0.607 0.058 0.801
0.607 0.707 0.866
0.711 0.372 0.169
0.723 0.917 0.299
0.753 0.739 0.117
0.822 0.249 0.402
0.844 0.751 0.531
0.873 0.407 0.582
0.921 0.439 0.828
0.937 0.127 0.877
0.942 0.088 0.603
0.999 0.323 0.039
```


Record 2
Structure and calculated X-ray powder pattern of Ni14Te (a DFT-relaxed cell (PBE, OQMD); Cu Kα, 1.54184 Å).
Intensities are scaled so that the largest is 100.

The 6 most intense peaks (2θ = 10–90°), low angle first:
Position (°2θ)	I/Imax
42.07	42
43.71	66
44.64	66
45.06	62
45.18	100
45.74	82

Structural model:
```
Ni14Te
1.0
4.278 0.000 0.000
-1.415 5.314 0.000
0.000 -0.104 28.221
Ni Te
28 2
direct
0.000 0.249 0.442
0.000 0.751 0.558
0.001 0.247 0.675
0.141 0.179 0.293
0.142 0.678 0.409
0.143 0.179 0.525
0.145 0.681 0.641
0.284 0.606 0.724
0.286 0.104 0.375
0.286 0.109 0.608
0.286 0.608 0.492
0.428 0.537 0.574
0.429 0.035 0.458
0.429 0.535 0.343
0.430 0.035 0.693
0.570 0.965 0.307
0.571 0.465 0.657
0.571 0.965 0.542
0.572 0.463 0.426
0.714 0.392 0.508
0.714 0.891 0.392
0.714 0.896 0.625
0.716 0.394 0.276
0.855 0.319 0.359
0.857 0.821 0.475
0.858 0.322 0.591
0.859 0.821 0.707
0.999 0.753 0.325
0.289 0.612 0.250
0.711 0.388 0.750
```


Record 3
Structure and calculated X-ray powder pattern of NdMgTlTe3 (a DFT-relaxed cell (PBE, OQMD); Cu Kα, 1.54184 Å).
Intensities are scaled so that the largest is 100.

The 6 most intense peaks (2θ = 10–90°), low angle first:
Position (°2θ)	I/Imax
18.65	38
24.95	34
26.12	35
27.16	100
30.10	56
30.21	41

Structural model:
```
NdMgTlTe3
1.0
12.067 0.000 0.000
0.000 4.550 0.000
0.000 0.000 15.468
Nd Mg Tl Te
4 4 4 12
direct
0.013 0.250 0.246
0.487 0.750 0.746
0.513 0.250 0.254
0.987 0.750 0.754
0.238 0.250 0.718
0.262 0.750 0.218
0.738 0.250 0.782
0.762 0.750 0.282
0.229 0.750 0.509
0.271 0.250 0.009
0.729 0.750 0.991
0.771 0.250 0.491
0.047 0.250 0.617
0.077 0.750 0.111
0.239 0.750 0.828
0.261 0.250 0.328
0.423 0.250 0.611
0.453 0.750 0.117
0.547 0.250 0.883
0.577 0.750 0.389
0.739 0.750 0.672
0.761 0.250 0.172
0.923 0.250 0.889
0.953 0.750 0.383
```